1.
Structure and calculated powder diffraction line list of Tb4CO (DFT lattice parameters and positions (GGA-PBE); Cu Kα, 1.54184 Å).
Peak positions follow from Bragg's law for the DFT cell and can differ from measured ones.

The 6 most intense peaks (10° ≤ 2θ ≤ 80°), sorted by position:
hkl, two_theta, I (rel.)
0 1 1, 28.96, 32
2 0 0, 29.53, 50
1 0 -2, 32.26, 100
1 1 1, 32.91, 68
1 0 2, 33.44, 35
2 1 -1, 41.33, 32

Atomic structure:
abc: 6.0570 3.5702 6.1186
angles: 90.00 92.60 90.00
Space group P2/m (No. 10)
Unique sites:
Tb  0.2236  0.0000  0.3407 x2
Tb  0.2280  0.5000  0.8446 x2
C  0.0000  0.0000  0.0000 x1
O  0.0000  0.5000  0.5000 x1

2.
Structure and calculated powder diffraction line list of NiTeMo2 (DFT lattice parameters and positions (GGA-PBE); Cu Kα, 1.54184 Å).
Peak positions follow from Bragg's law for the DFT cell and can differ from measured ones.

The 6 most intense peaks (10° ≤ 2θ ≤ 80°), sorted by position:
hkl, two_theta, I (rel.)
1 1 0, 37.80, 73
1 0 2, 40.85, 100
0 2 0, 54.43, 12
2 0 0, 54.61, 12
1 2 2, 70.26, 19
2 1 2, 70.38, 19

Atomic structure:
abc: 3.3609 3.3713 5.8547
angles: 90.00 90.00 90.00
Space group Pmmm (No. 47)
Unique sites:
Ni  0.0000  0.0000  0.0000 x1
Te  0.0000  0.0000  0.5000 x1
Mo  0.5000  0.5000  0.2062 x2

3.
Structure and calculated powder diffraction line list of Pm12Tm5Sc (DFT lattice parameters and positions (GGA-PBE); Cu Kα, 1.54184 Å).
Peak positions follow from Bragg's law for the DFT cell and can differ from measured ones.

The 6 most intense peaks (10° ≤ 2θ ≤ 80°), sorted by position:
hkl, two_theta, I (rel.)
0 6 0, 30.20, 29
0 0 2, 30.31, 30
3 3 1, 32.08, 100
0 6 2, 43.31, 22
3 9 1, 54.84, 21
3 3 3, 54.98, 22

Atomic structure:
abc: 11.2453 17.7574 5.8976
angles: 90.00 90.00 90.00
Space group Cmmm (No. 65)
Unique sites:
Pm  0.1546  0.0000  0.0000 x4
Pm  0.1558  0.5000  0.5000 x4
Pm  0.1604  0.1598  0.5000 x8
Pm  0.1622  0.3366  0.0000 x8
Tm  0.0000  0.1710  0.0000 x4
Tm  0.0000  0.3280  0.5000 x4
Tm  0.0000  0.5000  0.0000 x2
Sc  0.0000  0.0000  0.5000 x2

4.
Structure and calculated powder diffraction line list of Mg8Tl5Cd (DFT lattice parameters and positions (GGA-PBE); Cu Kα, 1.54184 Å).
Peak positions follow from Bragg's law for the DFT cell and can differ from measured ones.

The 6 most intense peaks (10° ≤ 2θ ≤ 80°), sorted by position:
hkl, two_theta, I (rel.)
1 1 2, 24.31, 50
1 2 1, 24.64, 100
1 0 3, 31.33, 29
1 3 0, 32.09, 75
2 1 3, 37.54, 36
3 2 1, 38.15, 26

Atomic structure:
abc: 8.8099 8.8099 9.0532
angles: 90.00 90.00 90.00
Space group I-4 (No. 82)
Unique sites:
Mg  0.0747  0.1762  0.1702 x8
Mg  0.0845  0.3304  0.5127 x8
Tl  0.0000  0.0000  0.5000 x2
Tl  0.1226  0.2674  0.8393 x8
Cd  0.0000  0.5000  0.2500 x2

5.
Structure and calculated powder diffraction line list of Ac5HgAu8 (DFT lattice parameters and positions (GGA-PBE); Cu Kα, 1.54184 Å).
Peak positions follow from Bragg's law for the DFT cell and can differ from measured ones.

The 6 most intense peaks (10° ≤ 2θ ≤ 80°), sorted by position:
hkl, two_theta, I (rel.)
1 3 0, 30.23, 100
1 0 3, 30.89, 41
2 3 1, 35.97, 35
1 3 2, 36.17, 38
1 2 3, 36.50, 48
4 2 2, 47.82, 22

Atomic structure:
abc: 9.3577 9.3577 9.1326
angles: 90.00 90.00 90.00
Space group I-4 (No. 82)
Unique sites:
Ac  0.0000  0.0000  0.0000 x2
Ac  0.1119  0.7545  0.3657 x8
Hg  0.0000  0.5000  0.7500 x2
Au  0.0720  0.6621  0.0245 x8
Au  0.0813  0.8096  0.7148 x8

6.
Structure and calculated powder diffraction line list of Ac4La3Nd3 (DFT lattice parameters and positions (GGA-PBE); Cu Kα, 1.54184 Å).
Peak positions follow from Bragg's law for the DFT cell and can differ from measured ones.

The 6 most intense peaks (10° ≤ 2θ ≤ 80°), sorted by position:
hkl, two_theta, I (rel.)
0 2 4, 28.17, 53
1 3 1, 29.66, 100
0 4 4, 35.87, 16
0 0 8, 51.68, 12
1 7 3, 54.14, 12
1 3 7, 54.28, 12

Atomic structure:
abc: 4.0676 14.1989 14.1394
angles: 90.00 90.00 90.00
Space group Amm2 (No. 38)
Unique sites:
Ac  0.0000  0.0000  0.0000 x2
Ac  0.0000  0.0000  0.2675 x2
Ac  0.0000  0.1347  0.6336 x4
La  0.0000  0.2480  0.8827 x4
La  0.5000  0.0000  0.4694 x2
Nd  0.5000  0.0000  0.7984 x2
Nd  0.5000  0.1648  0.1333 x4

7.
Structure and calculated powder diffraction line list of K3CN3 (DFT lattice parameters and positions (GGA-PBE); Cu Kα, 1.54184 Å).
Peak positions follow from Bragg's law for the DFT cell and can differ from measured ones.

The 6 most intense peaks (10° ≤ 2θ ≤ 80°), sorted by position:
hkl, two_theta, I (rel.)
1 0 1, 16.69, 23
0 1 2, 21.81, 51
0 0 3, 24.28, 35
0 2 1, 30.57, 77
2 0 2, 33.74, 100
0 2 4, 44.47, 29

Atomic structure:
abc: 7.0067 7.0067 10.9972
angles: 90.00 90.00 120.00
Space group R3m (No. 160, hexagonal axes)
Unique sites:
K  0.1683  0.3366  0.0000 x9
C  0.0000  0.0000  0.5460 x3
N  0.1105  0.2209  0.5422 x9

8.
Structure and calculated powder diffraction line list of Pm4BeRh3 (DFT lattice parameters and positions (GGA-PBE); Cu Kα, 1.54184 Å).
Peak positions follow from Bragg's law for the DFT cell and can differ from measured ones.

The 6 most intense peaks (10° ≤ 2θ ≤ 80°), sorted by position:
hkl, two_theta, I (rel.)
0 1 2, 26.99, 22
1 1 1, 32.14, 100
0 0 4, 32.40, 28
1 0 3, 32.98, 38
1 1 3, 39.75, 52
0 2 0, 43.95, 23

Atomic structure:
abc: 4.0204 4.1200 11.0526
angles: 90.00 90.00 90.00
Space group Pmm2 (No. 25)
Unique sites:
Pm  0.0000  0.0000  0.0000 x1
Pm  0.0000  0.5000  0.2730 x1
Pm  0.5000  0.0000  0.4908 x1
Pm  0.5000  0.5000  0.7779 x1
Be  0.0000  0.0000  0.6871 x1
Rh  0.0000  0.5000  0.5844 x1
Rh  0.5000  0.0000  0.2268 x1
Rh  0.5000  0.5000  0.0447 x1

> Which formula does entry 8 have?

Pm4BeRh3